Record 1
Starting from DFT lattice parameters and positions (GGA-PBE), the powder diffractogram of Nd4SmHo8 was computed for a wavelength of 1.5418 Å.

Peak list (10 most intense, 5° ≤ 2θ ≤ 70°, low angle first)
Position (°2θ)	Rel. int.
16.05	3
19.69	11
22.77	9
25.50	5
32.42	100
38.22	6
46.51	18
52.39	4
57.83	37
67.88	11

Cell and atoms:
```
13
Lattice="7.8106 0.0000 0.0000 0.0000 7.8106 0.0000 0.0000 0.0000 7.8106" Properties=species:S:1:pos:R:3 pbc="T T T"
Nd 0.0000 0.0000 0.0000
Nd 0.0000 3.9053 3.9053
Nd 3.9053 0.0000 3.9053
Nd 3.9053 3.9053 0.0000
Sm 3.9053 3.9053 3.9053
Ho 1.8707 1.8707 1.8707
Ho 1.8707 1.8707 5.9400
Ho 1.8707 5.9400 1.8707
Ho 1.8707 5.9400 5.9400
Ho 5.9400 1.8707 1.8707
Ho 5.9400 1.8707 5.9400
Ho 5.9400 5.9400 1.8707
Ho 5.9400 5.9400 5.9400
```

=====

Record 2
Starting from DFT lattice parameters and positions (GGA-PBE), the powder diffractogram of Rb2LiTc2O8 was computed for a wavelength of 1.5418 Å.

Peak list (10 most intense, 5° ≤ 2θ ≤ 70°, low angle first)
Position (°2θ)	Rel. int.
24.62	100
25.10	91
26.79	31
27.73	28
31.63	17
38.94	30
41.93	32
46.02	16
46.29	14
46.93	18

Cell and atoms:
```
13
Lattice="4.2275 -6.6564 0.0000 4.2275 6.6564 0.0000 -3.6724 0.0000 4.3064" Properties=species:S:1:pos:R:3 pbc="T T T"
Rb 0.0000 0.0000 0.0000
Rb 2.3913 -3.3301 2.1532
Li 2.3913 0.5524 2.1532
Tc 2.3913 3.3687 2.1532
Tc 4.2275 0.1334 0.0000
O 1.0288 4.3532 2.6247
O 1.9019 2.2971 0.8320
O 0.0778 1.0537 2.8697
O 3.7538 4.3532 1.6817
O 2.7893 -0.7528 0.5930
O 2.8807 2.2971 3.4744
O 4.7048 1.0537 1.4367
O 1.9933 -0.7528 3.7134
```

=====

Record 3
Starting from DFT lattice parameters and positions (GGA-PBE), the powder diffractogram of Tb5Dy4Tm2 was computed for a wavelength of 1.5418 Å.

Peak list (10 most intense, 5° ≤ 2θ ≤ 70°, low angle first)
Position (°2θ)	Rel. int.
29.91	84
30.21	37
30.35	37
30.52	36
30.72	56
32.00	86
32.70	100
33.23	69
33.41	66
58.63	53

Cell and atoms:
```
11
Lattice="5.4730 -3.6420 0.0000 5.4730 3.6420 0.0000 -2.6406 0.0000 8.7310" Properties=species:S:1:pos:R:3 pbc="T T T"
Tb 0.0000 0.0000 0.0000
Tb 2.8096 1.6088 6.3311
Tb 5.4958 1.6088 2.4000
Tb 2.8096 -1.6088 6.3311
Tb 5.4958 -1.6088 2.4000
Dy 3.3998 0.0000 0.0028
Dy 2.6258 0.0000 3.3226
Dy 5.6797 0.0000 5.4084
Dy 4.9057 0.0000 8.7283
Tm -0.0519 0.0000 5.4131
Tm 8.3573 0.0000 3.3180
```

=====

Record 4
Starting from DFT lattice parameters and positions (GGA-PBE), the powder diffractogram of RbVS was computed for a wavelength of 1.5418 Å.

Peak list (10 most intense, 5° ≤ 2θ ≤ 70°, low angle first)
Position (°2θ)	Rel. int.
22.34	100
24.39	78
27.87	77
29.89	48
35.21	25
36.44	27
40.59	38
41.32	19
49.98	28
57.59	39

Cell and atoms:
```
12
Lattice="0.0000 6.4030 7.1212 4.4418 0.0000 7.1212 4.4418 6.4030 0.0000" Properties=species:S:1:pos:R:3 pbc="T T T"
Rb 3.3314 4.8022 0.6728
Rb 5.5523 8.0037 4.2334
Rb 3.3314 4.8022 10.0090
Rb 5.5523 8.0037 13.5696
V 3.3314 4.8022 4.4296
V 3.3314 4.8022 6.2522
V 5.5523 8.0037 7.9902
V 5.5523 8.0037 9.8128
S 5.5461 4.8022 5.3409
S 7.7670 8.0037 8.9015
S 1.1167 4.8022 5.3409
S 3.3376 8.0037 8.9015
```

=====

Record 5
Starting from DFT lattice parameters and positions (GGA-PBE), the powder diffractogram of Li3Si was computed for a wavelength of 1.5418 Å.

Peak list (10 most intense, 5° ≤ 2θ ≤ 70°, low angle first)
Position (°2θ)	Rel. int.
20.12	46
25.31	100
31.01	14
34.91	35
37.25	58
38.56	30
40.63	13
40.89	22
51.97	43
54.84	18

Cell and atoms:
```
16
Lattice="5.1396 0.0000 0.0000 0.0000 5.7669 0.0000 0.0000 0.0000 8.8271" Properties=species:S:1:pos:R:3 pbc="T T T"
Li 0.0000 0.0000 0.0000
Li 0.0000 1.4417 2.2068
Li 0.0000 1.4417 6.6203
Li 0.0000 2.8834 4.4135
Li 0.0000 4.3251 2.2068
Li 0.0000 4.3251 6.6203
Li 2.5698 0.0000 4.4135
Li 2.5698 1.4417 2.2068
Li 2.5698 1.4417 6.6203
Li 2.5698 2.8834 0.0000
Li 2.5698 4.3251 2.2068
Li 2.5698 4.3251 6.6203
Si 0.0000 0.0000 4.4135
Si 0.0000 2.8834 0.0000
Si 2.5698 0.0000 0.0000
Si 2.5698 2.8834 4.4135
```

=====

Record 6
Starting from DFT lattice parameters and positions (GGA-PBE), the powder diffractogram of Pm2Dy4ErMg was computed for a wavelength of 1.5418 Å.

Peak list (10 most intense, 5° ≤ 2θ ≤ 70°, low angle first)
Position (°2θ)	Rel. int.
8.77	6
31.01	100
35.61	17
36.14	33
51.64	24
52.04	12
61.11	15
61.76	14
61.88	14
64.65	12

Cell and atoms:
```
8
Lattice="4.9650 0.0000 0.0000 0.0000 4.9766 0.0000 0.0000 0.0000 10.0849" Properties=species:S:1:pos:R:3 pbc="T T T"
Pm 0.0000 0.0000 0.0000
Pm 2.4825 2.4883 5.0425
Dy 0.0000 2.4883 2.5163
Dy 0.0000 2.4883 7.5686
Dy 2.4825 0.0000 2.5186
Dy 2.4825 0.0000 7.5663
Er 0.0000 0.0000 5.0425
Mg 2.4825 2.4883 0.0000
```

=====

Record 7
Starting from DFT lattice parameters and positions (GGA-PBE), the powder diffractogram of Tm5BiSe4 was computed for a wavelength of 1.5418 Å.

Peak list (10 most intense, 5° ≤ 2θ ≤ 70°, low angle first)
Position (°2θ)	Rel. int.
26.47	5
26.70	5
30.79	100
43.83	13
44.09	50
44.43	11
54.50	14
55.01	12
64.06	4
64.18	7

Cell and atoms:
```
10
Lattice="-2.0654 2.9073 10.1949 2.0654 -2.9073 10.1949 2.0654 2.9073 -10.1949" Properties=species:S:1:pos:R:3 pbc="T T T"
Tm 0.0000 0.0000 0.0000
Tm 0.0000 0.0000 4.0551
Tm 0.0000 0.0000 7.9443
Tm 0.0000 0.0000 12.4455
Tm 0.0000 0.0000 16.3347
Bi 0.0000 2.9073 0.0000
Se 2.0654 0.0000 2.0591
Se 2.0654 0.0000 6.0165
Se 0.0000 2.9073 4.1785
Se 0.0000 2.9073 8.1358
```

=====

Record 8
Starting from DFT lattice parameters and positions (GGA-PBE), the powder diffractogram of Tl4In2SnHg2 was computed for a wavelength of 1.5418 Å.

Peak list (10 most intense, 5° ≤ 2θ ≤ 70°, low angle first)
Position (°2θ)	Rel. int.
24.57	31
26.31	43
29.19	53
29.37	87
30.03	50
31.00	39
31.72	100
36.71	33
37.72	41
37.94	31

Cell and atoms:
```
9
Lattice="6.8025 0.0000 0.0000 -0.6394 7.2476 0.0000 -2.9934 -3.6651 5.6414" Properties=species:S:1:pos:R:3 pbc="T T T"
Tl 0.6786 1.5022 0.0087
Tl -0.3426 3.6085 2.5715
Tl 3.5122 -0.0260 3.0699
Tl 2.4911 2.0802 5.6327
In 1.7183 4.4901 0.0149
In 1.4514 -0.9076 5.6265
Sn 3.4012 0.0000 0.0000
Hg 0.0996 -0.0359 2.8840
Hg 3.0701 3.6184 2.7574
```

=====

Record 9
Starting from DFT lattice parameters and positions (GGA-PBE), the powder diffractogram of Rb4OsO4 was computed for a wavelength of 1.5418 Å.

Peak list (10 most intense, 5° ≤ 2θ ≤ 70°, low angle first)
Position (°2θ)	Rel. int.
15.06	14
18.77	19
28.59	100
31.13	30
34.09	40
46.83	32
48.98	14
53.84	17
57.69	32
59.18	16

Cell and atoms:
```
9
Lattice="-4.1588 4.1588 2.8731 4.1588 -4.1588 2.8731 4.1588 4.1588 -2.8731" Properties=species:S:1:pos:R:3 pbc="T T T"
Rb 2.4256 0.8472 0.0000
Rb 3.3116 -1.7332 2.8731
Rb 0.8472 5.8921 0.0000
Rb 1.7332 3.3116 2.8731
Os 0.0000 0.0000 2.8731
O 4.7199 2.3199 0.0000
O 2.3199 3.5978 0.0000
O 1.8389 0.5611 2.8731
O -0.5611 1.8389 2.8731
```

=====

Record 10
Starting from DFT lattice parameters and positions (GGA-PBE), the powder diffractogram of CsBe2TlF6 was computed for a wavelength of 1.5418 Å.

Peak list (10 most intense, 5° ≤ 2θ ≤ 70°, low angle first)
Position (°2θ)	Rel. int.
12.97	78
15.03	89
18.71	61
21.22	76
22.78	93
25.04	100
26.11	69
27.69	91
32.48	66
39.72	58

Cell and atoms:
```
20
Lattice="4.2874 -5.8931 0.0000 4.2874 5.8931 0.0000 -1.7189 0.0000 7.8058" Properties=species:S:1:pos:R:3 pbc="T T T"
Cs 2.9982 4.5925 5.8543
Cs 3.8577 -4.5925 1.9514
Be 0.6211 2.0212 7.1425
Be 1.4806 -2.0212 3.2396
Be 5.3753 2.0212 4.5662
Be 6.2348 -2.0212 0.6633
Tl 3.8577 0.0136 1.9514
Tl 2.9982 -0.0136 5.8543
F 1.3228 2.0791 5.8078
F 3.1987 2.8640 0.4755
F 0.3271 0.6100 7.6380
F 1.1865 -0.6100 3.7351
F 4.5166 2.8640 3.4274
F 2.1822 -2.0791 1.9049
F 4.6736 2.0791 5.9009
F 2.3392 -2.8640 4.3784
F 5.6693 0.6100 4.0707
F 6.5288 -0.6100 0.1678
F 3.6571 -2.8640 7.3303
F 5.5331 -2.0791 1.9980
```

=====

Record 11
Starting from DFT lattice parameters and positions (GGA-PBE), the powder diffractogram of Ga4Ag2Au9 was computed for a wavelength of 1.5418 Å.

Peak list (10 most intense, 5° ≤ 2θ ≤ 70°, low angle first)
Position (°2θ)	Rel. int.
23.07	9
23.71	15
25.57	13
28.41	12
36.13	72
40.52	100
40.69	56
55.40	21
58.78	19
67.91	5

Cell and atoms:
```
15
Lattice="4.4524 0.0000 0.0000 -2.2262 3.8559 0.0000 0.0000 0.0000 16.2602" Properties=species:S:1:pos:R:3 pbc="T T T"
Ga 0.0000 2.5706 1.8828
Ga 0.0000 2.5706 5.9987
Ga 2.2262 1.2853 10.2615
Ga 2.2262 1.2853 14.3774
Ag 0.0000 2.5706 12.4724
Ag 2.2262 1.2853 3.7878
Au 0.0000 0.0000 2.3715
Au 0.0000 0.0000 5.2015
Au 0.0000 0.0000 8.1301
Au 0.0000 0.0000 11.0587
Au 0.0000 0.0000 13.8887
Au 0.0000 2.5706 9.3997
Au 0.0000 2.5706 15.4835
Au 2.2262 1.2853 0.7767
Au 2.2262 1.2853 6.8605
```

=====

Record 12
Starting from DFT lattice parameters and positions (GGA-PBE), the powder diffractogram of SmDy3Ho8 was computed for a wavelength of 1.5418 Å.

Peak list (10 most intense, 5° ≤ 2θ ≤ 70°, low angle first)
Position (°2θ)	Rel. int.
22.39	19
31.62	51
31.95	100
32.14	68
35.79	17
35.99	37
45.76	19
51.91	22
57.12	19
66.77	24

Cell and atoms:
```
12
Lattice="-3.2034 5.5982 5.6585 3.2034 -5.5982 5.6585 3.2034 5.5982 -5.6585" Properties=species:S:1:pos:R:3 pbc="T T T"
Sm 0.0000 0.0000 0.0000
Dy 3.2034 0.0000 2.8652
Dy 0.0000 0.0000 5.6585
Dy 0.0000 5.5982 2.7933
Ho 3.2034 3.7136 -2.8242
Ho 1.5904 2.8376 0.0000
Ho 1.6130 -2.7607 5.6585
Ho 0.0000 1.8846 2.8343
Ho 3.2034 3.7136 2.8242
Ho 1.5904 8.3589 0.0000
Ho 1.6130 2.7607 5.6585
Ho 0.0000 1.8846 8.4826
```